[1]
Ba2Ti3AlO8: calculated powder diffraction line list (Cu Kα, 1.54184 Å), based on the PBE geometry in Alexandria.
Peak positions follow from Bragg's law for the DFT cell and can differ from measured ones.

Atomic structure:
Cell: 3.9749 3.9749 11.4387 Å, 90.00 90.00 90.00°
Positions (direct):
Ba 0.0000 0.0000 0.1744
Ba 0.0000 0.0000 0.8256
Ti 0.5000 0.5000 0.0000
Ti 0.5000 0.5000 0.3546
Ti 0.5000 0.5000 0.6454
Al 0.0000 0.0000 0.5000
O 0.0000 0.5000 0.0000
O 0.0000 0.5000 0.3832
O 0.0000 0.5000 0.6168
O 0.5000 0.0000 0.0000
O 0.5000 0.0000 0.3832
O 0.5000 0.0000 0.6168
O 0.5000 0.5000 0.1874
O 0.5000 0.5000 0.8126

Most intense lines, 5° ≤ 2θ ≤ 70°, sorted by position:
| 2theta | intensity |
| --- | --- |
| 7.7 | 25 |
| 31.8 | 46 |
| 32.5 | 100 |
| 39.8 | 24 |
| 45.6 | 38 |
| 57.2 | 39 |

[2]
Ac4Sn2N: calculated powder diffraction line list (Cu Kα, 1.54184 Å), based on the PBE geometry in Alexandria.
Peak positions follow from Bragg's law for the DFT cell and can differ from measured ones.

Atomic structure:
Cell: 9.5825 9.5825 7.3331 Å, 90.00 90.00 134.97°
Positions (direct):
Ac 0.1690 0.8310 0.9988
Ac 0.2503 0.2497 0.2500
Ac 0.2497 0.2503 0.7500
Ac 0.3310 0.6690 0.4988
Ac 0.6690 0.3310 0.5012
Ac 0.7503 0.7497 0.2500
Ac 0.7497 0.7503 0.7500
Ac 0.8310 0.1690 0.0012
Sn 0.1389 0.8611 0.5005
Sn 0.3611 0.6389 0.0005
Sn 0.6389 0.3611 0.9995
Sn 0.8611 0.1389 0.4995
N 0.0000 0.0000 0.0000
N 0.5000 0.5000 0.5000

Most intense lines, 5° ≤ 2θ ≤ 70°, sorted by position:
| 2theta | intensity |
| --- | --- |
| 26.3 | 100 |
| 30.3 | 37 |
| 31.7 | 93 |
| 34.6 | 66 |
| 46.6 | 46 |
| 60.2 | 38 |

[3]
DyErTmZr: calculated powder diffraction line list (Cu Kα, 1.54184 Å), based on the PBE geometry in Alexandria.
Peak positions follow from Bragg's law for the DFT cell and can differ from measured ones.

Atomic structure:
Cell: 5.9074 5.9074 5.9074 Å, 131.64 131.64 70.80°
Positions (direct):
Dy 0.0000 0.0000 0.0000
Er 0.7500 0.2500 0.5000
Tm 0.2500 0.7500 0.5000
Zr 0.5000 0.5000 0.0000

Most intense lines, 5° ≤ 2θ ≤ 70°, sorted by position:
| 2theta | intensity |
| --- | --- |
| 32.1 | 100 |
| 37.2 | 34 |
| 37.3 | 17 |
| 53.7 | 23 |
| 63.8 | 28 |
| 64.1 | 14 |

[4]
Rb2Pa3Te8: calculated powder diffraction line list (Cu Kα, 1.54184 Å), based on the PBE geometry in Alexandria.
Peak positions follow from Bragg's law for the DFT cell and can differ from measured ones.

Atomic structure:
Cell: 10.0468 10.0468 7.7574 Å, 105.05 105.05 53.05°
Positions (direct):
Rb 0.2403 0.2403 0.1672
Rb 0.7597 0.7597 0.8328
Pa 0.2438 0.7562 0.5000
Pa 0.5000 0.5000 0.0000
Pa 0.7562 0.2438 0.5000
Te 0.1042 0.1042 0.4469
Te 0.1684 0.6410 0.1116
Te 0.3590 0.8316 0.8884
Te 0.4022 0.4022 0.6026
Te 0.5978 0.5978 0.3974
Te 0.6410 0.1684 0.1116
Te 0.8316 0.3590 0.8884
Te 0.8958 0.8958 0.5531

Most intense lines, 5° ≤ 2θ ≤ 70°, sorted by position:
| 2theta | intensity |
| --- | --- |
| 10.3 | 83 |
| 23.9 | 43 |
| 28.8 | 100 |
| 33.5 | 28 |
| 40.3 | 29 |
| 42.0 | 33 |

[5]
DyCdGaO4: calculated powder diffraction line list (Cu Kα, 1.54184 Å), based on the PBE geometry in Alexandria.
Peak positions follow from Bragg's law for the DFT cell and can differ from measured ones.

Atomic structure:
Cell: 6.4558 6.4558 6.4558 Å, 121.80 117.88 90.31°
Positions (direct):
Dy 0.0000 0.0000 0.0000
Dy 0.5000 0.0000 0.5000
Cd 0.5000 0.0000 0.0000
Cd 0.5000 0.5000 0.5000
Ga 0.1208 0.3708 0.7500
Ga 0.8792 0.6292 0.2500
O 0.2348 0.2501 0.9847
O 0.2346 0.7499 0.4847
O 0.2421 0.2411 0.4990
O 0.2421 0.7431 0.0010
O 0.7579 0.2569 0.9990
O 0.7579 0.7589 0.5010
O 0.7654 0.2501 0.5153
O 0.7652 0.7499 0.0153

Most intense lines, 5° ≤ 2θ ≤ 70°, sorted by position:
| 2theta | intensity |
| --- | --- |
| 17.2 | 61 |
| 32.0 | 100 |
| 32.8 | 49 |
| 33.0 | 60 |
| 33.3 | 45 |
| 57.1 | 68 |

[6]
DyTm7Pb2: calculated powder diffraction line list (Cu Kα, 1.54184 Å), based on the PBE geometry in Alexandria.
Peak positions follow from Bragg's law for the DFT cell and can differ from measured ones.

Atomic structure:
Cell: 8.9678 8.9678 5.3419 Å, 90.00 90.00 119.22°
Positions (direct):
Dy 0.0000 0.0000 0.0000
Tm 0.0602 0.3008 0.5000
Tm 0.2208 0.7792 0.0000
Tm 0.3008 0.0602 0.5000
Tm 0.5000 0.5000 0.5000
Tm 0.6992 0.9398 0.5000
Tm 0.7792 0.2208 0.0000
Tm 0.9398 0.6992 0.5000
Pb 0.3061 0.6939 0.5000
Pb 0.6939 0.3061 0.5000

Most intense lines, 5° ≤ 2θ ≤ 70°, sorted by position:
| 2theta | intensity |
| --- | --- |
| 16.6 | 57 |
| 28.5 | 40 |
| 30.4 | 55 |
| 33.6 | 56 |
| 34.6 | 69 |
| 34.9 | 100 |